Entry 1:
# LiTe3
Calculated PXRD pattern, Cu Kα (λ = 1.5418 Å). Input: a structure optimized by DFT (PBE).
Intensities are scaled so that the largest is 100.

Structure:
Cell: 6.1825 6.1825 7.7038 Å, 90.00 90.00 120.00°
Space group P6_3/mmc (No. 194)
Asymmetric unit:
Li 0.3333 0.6667 0.2500 [2 per cell]
Te 0.1669 0.3339 0.7500 [6 per cell]

The 10 most intense peaks (10° ≤ 2θ ≤ 90°), by angle:
(1 0 1), 2θ = 20.2°, d = 4.397 Å, rel. 42
(0 0 2), 2θ = 23.1°, d = 3.852 Å, rel. 68
(2 0 0), 2θ = 33.5°, d = 2.677 Å, rel. 20
(2 0 1), 2θ = 35.5°, d = 2.529 Å, rel. 100
(2 0 2), 2θ = 41.1°, d = 2.198 Å, rel. 22
(2 0 3), 2θ = 49.2°, d = 1.853 Å, rel. 39
(2 2 0), 2θ = 59.8°, d = 1.546 Å, rel. 14
(2 2 2), 2θ = 65.0°, d = 1.434 Å, rel. 22
(2 0 5), 2θ = 70.5°, d = 1.335 Å, rel. 13
(4 0 1), 2θ = 71.5°, d = 1.319 Å, rel. 13


Entry 2:
# Li2Te
Calculated PXRD pattern, Cu Kα (λ = 1.5418 Å). Input: a structure optimized by DFT (PBE).
Intensities are scaled so that the largest is 100.

Structure:
Cell: 6.5145 6.5145 6.5145 Å, 90.00 90.00 90.00°
Space group Fm-3m (No. 225)
Asymmetric unit:
Li 0.2500 0.2500 0.2500 [8 per cell]
Te 0.0000 0.0000 0.0000 [4 per cell]

The 10 most intense peaks (10° ≤ 2θ ≤ 90°), by angle:
(1 1 1), 2θ = 23.7°, d = 3.761 Å, rel. 100
(2 0 0), 2θ = 27.4°, d = 3.257 Å, rel. 44
(2 2 0), 2θ = 39.1°, d = 2.303 Å, rel. 47
(3 1 1), 2θ = 46.2°, d = 1.964 Å, rel. 49
(2 2 2), 2θ = 48.4°, d = 1.881 Å, rel. 12
(3 3 1), 2θ = 62.1°, d = 1.495 Å, rel. 20
(4 2 0), 2θ = 63.9°, d = 1.457 Å, rel. 16
(4 2 2), 2θ = 70.9°, d = 1.330 Å, rel. 16
(5 1 1), 2θ = 75.9°, d = 1.254 Å, rel. 15
(5 3 1), 2θ = 88.9°, d = 1.101 Å, rel. 15


Entry 3:
# LiTi2Te4
Calculated PXRD pattern, Cu Kα (λ = 1.5418 Å). Input: a structure optimized by DFT (PBE).
Intensities are scaled so that the largest is 100.

Structure:
Cell: 15.4955 3.8791 6.6730 Å, 90.00 115.30 90.00°
Space group C2/m (No. 12)
Asymmetric unit:
Li 0.0000 0.0000 0.0000 [2 per cell]
Ti 0.2489 0.0000 0.2386 [4 per cell]
Te 0.1273 0.0000 0.7882 [4 per cell]
Te 0.1308 0.5000 0.3028 [4 per cell]

The 10 most intense peaks (10° ≤ 2θ ≤ 90°), by angle:
(2 0 0), 2θ = 12.6°, d = 7.005 Å, rel. 14
(4 0 0), 2θ = 25.4°, d = 3.502 Å, rel. 30
(3 1 -1), 2θ = 29.5°, d = 3.024 Å, rel. 100
(0 0 2), 2θ = 29.6°, d = 3.014 Å, rel. 50
(5 1 -1), 2θ = 37.1°, d = 2.421 Å, rel. 45
(0 2 0), 2θ = 46.8°, d = 1.940 Å, rel. 13
(3 1 -3), 2θ = 47.1°, d = 1.930 Å, rel. 25
(5 1 1), 2θ = 47.4°, d = 1.918 Å, rel. 24
(0 2 2), 2θ = 56.4°, d = 1.631 Å, rel. 16
(8 2 0), 2θ = 72.8°, d = 1.299 Å, rel. 13


Entry 4:
# LiTi5Te10
Calculated PXRD pattern, Cu Kα (λ = 1.5418 Å). Input: a structure optimized by DFT (PBE).
Intensities are scaled so that the largest is 100.

Structure:
Cell: 6.5850 7.8868 9.5450 Å, 109.87 109.99 90.12°
Space group P-1 (No. 2)
Asymmetric unit:
Li 0.0000 0.0000 0.0000 [1 per cell]
Ti 0.1021 0.7005 0.2019 [2 per cell]
Ti 0.2973 0.1008 0.5998 [2 per cell]
Ti 0.5000 0.5000 0.0000 [1 per cell]
Te 0.0836 0.7497 0.5002 [2 per cell]
Te 0.1168 0.6460 0.8970 [2 per cell]
Te 0.2879 0.1509 0.8996 [2 per cell]
Te 0.3212 0.0525 0.3039 [2 per cell]
Te 0.4835 0.5501 0.3001 [2 per cell]

The 10 most intense peaks (10° ≤ 2θ ≤ 90°), by angle:
(0 2 -2), 2θ = 25.8°, d = 3.449 Å, rel. 42
(1 2 0), 2θ = 30.0°, d = 2.982 Å, rel. 92
(2 -1 0), 2θ = 30.0°, d = 2.977 Å, rel. 100
(2 1 -2), 2θ = 30.1°, d = 2.968 Å, rel. 21
(1 3 -1), 2θ = 37.7°, d = 2.386 Å, rel. 59
(0 2 3), 2θ = 47.6°, d = 1.912 Å, rel. 18
(3 1 0), 2θ = 47.8°, d = 1.904 Å, rel. 35
(1 -4 1), 2θ = 48.2°, d = 1.888 Å, rel. 43
(2 1 3), 2θ = 57.3°, d = 1.608 Å, rel. 19
(3 -3 4), 2θ = 74.1°, d = 1.280 Å, rel. 18


Entry 5:
# Li2Tl
Calculated PXRD pattern, Cu Kα (λ = 1.5418 Å). Input: a structure optimized by DFT (PBE).
Intensities are scaled so that the largest is 100.

Structure:
Cell: 4.7008 10.1474 4.8639 Å, 90.00 90.00 90.00°
Space group Cmcm (No. 63)
Asymmetric unit:
Li 0.0000 0.0853 0.2500 [4 per cell]
Li 0.0000 0.2591 0.7500 [4 per cell]
Tl 0.0000 0.4030 0.2500 [4 per cell]

The 10 most intense peaks (10° ≤ 2θ ≤ 90°), by angle:
(1 1 0), 2θ = 20.8°, d = 4.265 Å, rel. 100
(0 2 1), 2θ = 25.4°, d = 3.511 Å, rel. 82
(1 1 1), 2θ = 27.8°, d = 3.207 Å, rel. 49
(0 0 2), 2θ = 37.0°, d = 2.432 Å, rel. 21
(1 3 1), 2θ = 37.6°, d = 2.391 Å, rel. 74
(2 0 0), 2θ = 38.3°, d = 2.350 Å, rel. 19
(1 1 2), 2θ = 42.8°, d = 2.113 Å, rel. 32
(2 2 1), 2θ = 46.5°, d = 1.953 Å, rel. 33
(1 5 0), 2θ = 48.9°, d = 1.863 Å, rel. 16
(2 0 2), 2θ = 54.3°, d = 1.690 Å, rel. 19


Entry 6:
# LiTl
Calculated PXRD pattern, Cu Kα (λ = 1.5418 Å). Input: a structure optimized by DFT (PBE).
Intensities are scaled so that the largest is 100.

Structure:
Cell: 11.8816 11.1657 8.1709 Å, 90.00 90.00 90.00°
Space group Cmce (No. 64)
Asymmetric unit:
Li 0.0000 0.1826 0.1060 [8 per cell]
Li 0.1560 0.0000 0.0000 [8 per cell]
Li 0.2500 0.1496 0.7500 [8 per cell]
Tl 0.0000 0.0884 0.7604 [8 per cell]
Tl 0.1494 0.1413 0.4070 [16 per cell]

The 10 most intense peaks (10° ≤ 2θ ≤ 90°), by angle:
(1 1 1), 2θ = 15.4°, d = 5.766 Å, rel. 39
(2 2 1), 2θ = 24.4°, d = 3.645 Å, rel. 100
(3 1 1), 2θ = 26.2°, d = 3.395 Å, rel. 41
(2 0 2), 2θ = 26.5°, d = 3.366 Å, rel. 27
(1 3 1), 2θ = 27.4°, d = 3.257 Å, rel. 26
(0 4 0), 2θ = 32.1°, d = 2.791 Å, rel. 34
(3 1 2), 2θ = 32.5°, d = 2.756 Å, rel. 38
(3 3 1), 2θ = 34.9°, d = 2.574 Å, rel. 39
(4 2 1), 2θ = 36.0°, d = 2.497 Å, rel. 55
(0 2 3), 2θ = 36.7°, d = 2.448 Å, rel. 65


Entry 7:
# Li5Tl2
Calculated PXRD pattern, Cu Kα (λ = 1.5418 Å). Input: a structure optimized by DFT (PBE).
Intensities are scaled so that the largest is 100.

Structure:
Cell: 4.7419 4.7419 20.5005 Å, 90.00 90.00 120.00°
Space group R-3m (No. 166, hexagonal axes)
Asymmetric unit:
Li 0.0000 0.0000 0.0000 [3 per cell]
Li 0.0000 0.0000 0.1454 [6 per cell]
Li 0.0000 0.0000 0.2862 [6 per cell]
Tl 0.0000 0.0000 0.4245 [6 per cell]

The 10 most intense peaks (10° ≤ 2θ ≤ 90°), by angle:
(1 0 1), 2θ = 22.1°, d = 4.027 Å, rel. 100
(0 1 2), 2θ = 23.3°, d = 3.812 Å, rel. 37
(0 0 6), 2θ = 26.1°, d = 3.417 Å, rel. 26
(0 1 5), 2θ = 30.8°, d = 2.901 Å, rel. 29
(1 0 7), 2θ = 37.7°, d = 2.384 Å, rel. 38
(1 1 0), 2θ = 38.0°, d = 2.371 Å, rel. 38
(0 1 8), 2θ = 41.5°, d = 2.174 Å, rel. 16
(0 2 1), 2θ = 44.3°, d = 2.043 Å, rel. 17
(1 1 6), 2θ = 46.6°, d = 1.948 Å, rel. 33
(2 1 1), 2θ = 59.7°, d = 1.548 Å, rel. 14


Entry 8:
# LiTl
Calculated PXRD pattern, Cu Kα (λ = 1.5418 Å). Input: a structure optimized by DFT (PBE).
Intensities are scaled so that the largest is 100.

Structure:
Cell: 3.4770 3.4770 3.4770 Å, 90.00 90.00 90.00°
Space group Pm-3m (No. 221)
Asymmetric unit:
Li 0.0000 0.0000 0.0000 [1 per cell]
Tl 0.5000 0.5000 0.5000 [1 per cell]

The 9 most intense peaks (10° ≤ 2θ ≤ 90°), by angle:
(1 0 0), 2θ = 25.6°, d = 3.477 Å, rel. 100
(1 1 0), 2θ = 36.5°, d = 2.459 Å, rel. 89
(1 1 1), 2θ = 45.2°, d = 2.007 Å, rel. 30
(2 0 0), 2θ = 52.6°, d = 1.738 Å, rel. 16
(2 1 0), 2θ = 59.4°, d = 1.555 Å, rel. 40
(2 1 1), 2θ = 65.8°, d = 1.419 Å, rel. 33
(2 2 0), 2θ = 77.7°, d = 1.229 Å, rel. 10
(3 0 0), 2θ = 83.4°, d = 1.159 Å, rel. 20
(3 1 0), 2θ = 89.0°, d = 1.100 Å, rel. 15


Entry 9:
# LiTl
Calculated PXRD pattern, Cu Kα (λ = 1.5418 Å). Input: a structure optimized by DFT (PBE).
Intensities are scaled so that the largest is 100.

Structure:
Cell: 5.1833 5.1833 8.6726 Å, 90.00 90.00 120.00°
Space group P6_3/mmc (No. 194)
Asymmetric unit:
Li 0.3333 0.6667 0.0825 [4 per cell]
Tl 0.0000 0.0000 0.2500 [2 per cell]
Tl 0.3333 0.6667 0.7500 [2 per cell]

The 10 most intense peaks (10° ≤ 2θ ≤ 90°), by angle:
(0 0 2), 2θ = 20.5°, d = 4.336 Å, rel. 94
(1 0 1), 2θ = 22.3°, d = 3.986 Å, rel. 84
(1 1 0), 2θ = 34.6°, d = 2.592 Å, rel. 83
(1 0 3), 2θ = 37.0°, d = 2.430 Å, rel. 27
(1 1 2), 2θ = 40.6°, d = 2.225 Å, rel. 100
(0 0 4), 2θ = 41.6°, d = 2.171 Å, rel. 33
(1 1 4), 2θ = 55.2°, d = 1.664 Å, rel. 56
(3 0 2), 2θ = 66.1°, d = 1.414 Å, rel. 24
(1 1 6), 2θ = 75.3°, d = 1.262 Å, rel. 18
(3 0 4), 2θ = 77.5°, d = 1.232 Å, rel. 21


Entry 10:
# LiTl
Calculated PXRD pattern, Cu Kα (λ = 1.5418 Å). Input: a structure optimized by DFT (PBE).
Intensities are scaled so that the largest is 100.

Structure:
Cell: 12.6990 10.6913 8.1330 Å, 90.00 90.00 90.00°
Space group Cmce (No. 64)
Asymmetric unit:
Li 0.0000 0.1810 0.1069 [8 per cell]
Li 0.1566 0.0000 0.0000 [8 per cell]
Li 0.2500 0.1539 0.7500 [8 per cell]
Tl 0.0000 0.0803 0.7598 [8 per cell]
Tl 0.1417 0.1462 0.4107 [16 per cell]

The 10 most intense peaks (10° ≤ 2θ ≤ 90°), by angle:
(1 1 1), 2θ = 15.4°, d = 5.767 Å, rel. 43
(2 2 1), 2θ = 24.4°, d = 3.648 Å, rel. 88
(3 1 1), 2θ = 25.1°, d = 3.543 Å, rel. 39
(2 0 2), 2θ = 26.0°, d = 3.424 Å, rel. 26
(1 3 1), 2θ = 28.2°, d = 3.161 Å, rel. 31
(3 1 2), 2θ = 31.6°, d = 2.828 Å, rel. 37
(4 2 1), 2θ = 34.7°, d = 2.587 Å, rel. 100
(4 0 2), 2θ = 35.9°, d = 2.502 Å, rel. 29
(0 2 3), 2θ = 37.2°, d = 2.418 Å, rel. 61
(4 4 3), 2θ = 56.4°, d = 1.632 Å, rel. 24


Entry 11:
# LiTmTl2
Calculated PXRD pattern, Cu Kα (λ = 1.5418 Å). Input: a structure optimized by DFT (PBE).
Intensities are scaled so that the largest is 100.

Structure:
Cell: 7.3037 7.3037 7.3037 Å, 90.00 90.00 90.00°
Space group Fm-3m (No. 225)
Asymmetric unit:
Li 0.0000 0.0000 0.0000 [4 per cell]
Tm 0.0000 0.0000 0.5000 [4 per cell]
Tl 0.2500 0.2500 0.2500 [8 per cell]

The 10 most intense peaks (10° ≤ 2θ ≤ 90°), by angle:
(1 1 1), 2θ = 21.1°, d = 4.217 Å, rel. 19
(2 0 0), 2θ = 24.4°, d = 3.652 Å, rel. 19
(2 2 0), 2θ = 34.7°, d = 2.582 Å, rel. 100
(3 1 1), 2θ = 41.0°, d = 2.202 Å, rel. 10
(2 2 2), 2θ = 42.9°, d = 2.108 Å, rel. 6
(4 0 0), 2θ = 49.9°, d = 1.826 Å, rel. 18
(4 2 0), 2θ = 56.3°, d = 1.633 Å, rel. 8
(4 2 2), 2θ = 62.3°, d = 1.491 Å, rel. 38
(4 4 0), 2θ = 73.3°, d = 1.291 Å, rel. 12
(6 2 0), 2θ = 83.8°, d = 1.155 Å, rel. 17


Entry 12:
# LiY2Tl
Calculated PXRD pattern, Cu Kα (λ = 1.5418 Å). Input: a structure optimized by DFT (PBE).
Intensities are scaled so that the largest is 100.

Structure:
Cell: 7.4953 7.4953 7.4953 Å, 90.00 90.00 90.00°
Space group Fm-3m (No. 225)
Asymmetric unit:
Li 0.0000 0.0000 0.0000 [4 per cell]
Y 0.2500 0.2500 0.2500 [8 per cell]
Tl 0.0000 0.0000 0.5000 [4 per cell]

The 10 most intense peaks (10° ≤ 2θ ≤ 90°), by angle:
(1 1 1), 2θ = 20.5°, d = 4.327 Å, rel. 58
(2 2 0), 2θ = 33.8°, d = 2.650 Å, rel. 100
(3 1 1), 2θ = 39.9°, d = 2.260 Å, rel. 32
(4 0 0), 2θ = 48.6°, d = 1.874 Å, rel. 18
(3 3 1), 2θ = 53.3°, d = 1.720 Å, rel. 14
(4 2 2), 2θ = 60.5°, d = 1.530 Å, rel. 37
(5 1 1), 2θ = 64.6°, d = 1.442 Å, rel. 11
(4 4 0), 2θ = 71.2°, d = 1.325 Å, rel. 11
(5 3 1), 2θ = 75.0°, d = 1.267 Å, rel. 11
(6 2 0), 2θ = 81.2°, d = 1.185 Å, rel. 16


Entry 13:
# Li2YTl
Calculated PXRD pattern, Cu Kα (λ = 1.5418 Å). Input: a structure optimized by DFT (PBE).
Intensities are scaled so that the largest is 100.

Structure:
Cell: 6.8686 6.8686 6.8686 Å, 90.00 90.00 90.00°
Space group Fm-3m (No. 225)
Asymmetric unit:
Li 0.2500 0.2500 0.2500 [8 per cell]
Y 0.0000 0.0000 0.0000 [4 per cell]
Tl 0.0000 0.0000 0.5000 [4 per cell]

The 10 most intense peaks (10° ≤ 2θ ≤ 90°), by angle:
(1 1 1), 2θ = 22.4°, d = 3.966 Å, rel. 27
(2 0 0), 2θ = 25.9°, d = 3.434 Å, rel. 100
(2 2 0), 2θ = 37.0°, d = 2.428 Å, rel. 91
(3 1 1), 2θ = 43.7°, d = 2.071 Å, rel. 16
(2 2 2), 2θ = 45.8°, d = 1.983 Å, rel. 29
(4 0 0), 2θ = 53.4°, d = 1.717 Å, rel. 16
(4 2 0), 2θ = 60.3°, d = 1.536 Å, rel. 38
(4 2 2), 2θ = 66.7°, d = 1.402 Å, rel. 33
(4 4 0), 2θ = 78.8°, d = 1.214 Å, rel. 10
(6 0 0), 2θ = 84.7°, d = 1.145 Å, rel. 19


Entry 14:
# LiZn
Calculated PXRD pattern, Cu Kα (λ = 1.5418 Å). Input: a structure optimized by DFT (PBE).
Intensities are scaled so that the largest is 100.

Structure:
Cell: 6.1746 6.1746 6.1746 Å, 90.00 90.00 90.00°
Space group Fd-3m (No. 227, origin choice 2)
Asymmetric unit:
Li 0.1250 0.1250 0.1250 [8 per cell]
Zn 0.1250 0.1250 0.6250 [8 per cell]

The 8 most intense peaks (10° ≤ 2θ ≤ 90°), by angle:
(1 1 1), 2θ = 25.0°, d = 3.565 Å, rel. 96
(2 2 0), 2θ = 41.4°, d = 2.183 Å, rel. 100
(3 1 1), 2θ = 48.9°, d = 1.862 Å, rel. 45
(4 0 0), 2θ = 59.9°, d = 1.544 Å, rel. 16
(3 3 1), 2θ = 65.9°, d = 1.417 Å, rel. 17
(4 2 2), 2θ = 75.4°, d = 1.260 Å, rel. 31
(5 1 1), 2θ = 80.9°, d = 1.188 Å, rel. 13
(4 4 0), 2θ = 89.9°, d = 1.092 Å, rel. 10


Entry 15:
# Li3Zn
Calculated PXRD pattern, Cu Kα (λ = 1.5418 Å). Input: a structure optimized by DFT (PBE).
Intensities are scaled so that the largest is 100.

Structure:
Cell: 6.4244 6.4244 6.4244 Å, 90.00 90.00 90.00°
Space group Fm-3m (No. 225)
Asymmetric unit:
Li 0.0000 0.0000 0.0000 [4 per cell]
Li 0.2500 0.2500 0.2500 [8 per cell]
Zn 0.0000 0.0000 0.5000 [4 per cell]

The 10 most intense peaks (10° ≤ 2θ ≤ 90°), by angle:
(1 1 1), 2θ = 24.0°, d = 3.709 Å, rel. 100
(2 0 0), 2θ = 27.8°, d = 3.212 Å, rel. 52
(2 2 0), 2θ = 39.7°, d = 2.271 Å, rel. 68
(3 1 1), 2θ = 46.9°, d = 1.937 Å, rel. 48
(2 2 2), 2θ = 49.1°, d = 1.855 Å, rel. 14
(4 0 0), 2θ = 57.4°, d = 1.606 Å, rel. 11
(3 3 1), 2θ = 63.1°, d = 1.474 Å, rel. 19
(4 2 0), 2θ = 64.9°, d = 1.437 Å, rel. 17
(4 2 2), 2θ = 72.0°, d = 1.311 Å, rel. 21
(5 1 1), 2θ = 77.1°, d = 1.236 Å, rel. 13